For Nd2CrC2, the PBE geometry in Alexandria gives the theoretical powder diffractogram in this record (a wavelength of 1.5418 Å).
Intensities are scaled so that the largest is 100.

Cell and atoms:
abc: 6.257 6.257 6.822
angles: 117.27 117.27 50.50
Sites, in units of the cell vectors:
1 Nd 0.039 0.039 0.286
2 Nd 0.315 0.315 0.874
3 Nd 0.685 0.685 0.126
4 Nd 0.961 0.961 0.714
5 Cr 0.368 0.368 0.371
6 Cr 0.632 0.632 0.629
7 C 0.192 0.192 0.124
8 C 0.494 0.494 0.705
9 C 0.506 0.506 0.295
10 C 0.808 0.808 0.876

The 10 most intense peaks (2θ = 10–90°), by angle:
2θ/deg  Rel. int.
29.0  83
31.8  100
32.2  81
33.6  68
33.8  44
43.2  17
45.0  20
48.4  32
58.9  27
61.6  17